Computed X-ray diffraction stick pattern
Compound: Pr4Y3Er4
Radiation: copper Kα
Structure: a PBE-relaxed structure
Intensities are scaled so that the largest is 100.

Cell and atoms:
Cell lengths 3.5570, 5.6451, 18.3601 Å; angles 81.17, 84.45, 90.00 degrees
Space group P-1 (No. 2)
One atom of each set of equivalent atoms:
Pr  0.0461  0.0471  0.4076 (multiplicity 2)
Pr  0.1800  0.6806  0.1392 (multiplicity 2)
Y  0.3628  0.8622  0.7750 (multiplicity 2)
Y  0.5000  0.5000  0.5000 (multiplicity 1)
Er  0.0909  0.5922  0.3174 (multiplicity 2)
Er  0.2338  0.2337  0.0327 (multiplicity 2)

Main lines, sorted by position (10° ≤ 2θ ≤ 90°):
hkl  Position (°2θ)  intensity
1 0 0  25.16  20
1 0 4  30.53  36
1 1 3  31.33  85
0 1 6  31.53  100
0 2 1  31.70  52
1 -1 5  38.96  19
1 -2 3  44.59  25
0 3 7  56.36  19
1 2 9  56.51  17
2 1 7  61.54  29

---

Computed X-ray diffraction stick pattern
Compound: Pr2Y6Er3
Radiation: copper Kα
Structure: a PBE-relaxed structure
Intensities are scaled so that the largest is 100.

Cell and atoms:
Cell lengths 4.7457, 4.7457, 33.5861 Å; angles 90.00, 90.00, 90.00 degrees
Space group I4/mmm (No. 139)
One atom of each set of equivalent atoms:
Pr  0.0000  0.0000  0.0457 (multiplicity 4)
Y  0.0000  0.0000  0.1985 (multiplicity 4)
Y  0.0000  0.5000  0.1225 (multiplicity 8)
Er  0.0000  0.0000  0.3006 (multiplicity 4)
Er  0.0000  0.0000  0.5000 (multiplicity 2)

Main lines, sorted by position (10° ≤ 2θ ≤ 90°):
hkl  Position (°2θ)  intensity
1 1 0  26.56  44
1 1 4  28.65  100
1 0 9  30.47  28
1 1 8  34.21  65
1 0 11  34.94  23
2 0 0  37.92  75
2 0 12  50.42  24
2 2 0  54.70  25
1 1 20  61.79  39
3 1 20  87.10  25

---

Computed X-ray diffraction stick pattern
Compound: Pr3YEr7
Radiation: copper Kα
Structure: a PBE-relaxed structure
Intensities are scaled so that the largest is 100.

Cell and atoms:
Cell lengths 5.8382, 11.1919, 11.2086 Å; angles 90.00, 90.00, 90.00 degrees
Space group Immm (No. 71)
One atom of each set of equivalent atoms:
Pr  0.0000  0.0000  0.0000 (multiplicity 2)
Pr  0.0000  0.2858  0.5000 (multiplicity 4)
Y  0.0000  0.5000  0.0000 (multiplicity 2)
Er  0.0000  0.0000  0.5000 (multiplicity 2)
Er  0.0000  0.1941  0.2098 (multiplicity 8)
Er  0.0000  0.5000  0.2941 (multiplicity 4)

Main lines, sorted by position (10° ≤ 2θ ≤ 90°):
hkl  Position (°2θ)  intensity
0 1 3  25.14  14
1 3 0  28.38  14
2 0 0  30.63  37
0 0 4  31.96  29
1 3 2  32.66  100
2 0 4  44.85  23
3 3 2  55.74  22
1 7 2  62.42  18
2 5 5  67.24  10
3 7 2  79.40  9